1.
This entry pairs a crystal structure of Ta2TiZn2O8 with its calculated PXRD pattern. Radiation: Cu Kα X-rays. Structure: a DFT-relaxed cell (PBE, the Materials Project).
Neutral-atom scattering factors, no anomalous dispersion.

Largest 10 diffraction maxima, sorted by position, 2θ from 15° to 90°:
h k l	two_theta	Rel. int.
1 1 0	15.63	25
4 0 0	18.28	29
1 1 -1	22.96	44
3 1 1	26.43	24
5 1 0	27.46	49
5 1 -1	32.31	100
0 0 2	33.79	38
0 2 1	34.66	59
8 2 1	51.65	29
5 3 0	51.92	22

Crystal structure
a b c (Å): 19.4097 5.9289 5.3052
angles (deg): 90.00 90.17 90.00
Space group C2/c (No. 15)
One atom of each set of equivalent atoms:
Ta 0.1145 0.1494 0.2666
Ti 0.0000 0.3699 0.7500
Zn 0.2177 0.3475 0.7742
O 0.0577 0.3758 0.4081
O 0.0684 0.1278 0.9247
O 0.1755 0.1043 0.5735
O 0.1935 0.3468 0.1446


2.
This entry pairs a crystal structure of TaTlO3 with its calculated PXRD pattern. Radiation: Cu Kα X-rays. Structure: a DFT-relaxed cell (PBE, the Materials Project).
Neutral-atom scattering factors, no anomalous dispersion.

Largest 10 diffraction maxima, sorted by position, 2θ from 15° to 90°:
h k l	two_theta	Rel. int.
2 2 2	28.71	100
4 0 0	33.27	43
3 3 1	36.35	1
4 4 0	47.76	41
6 2 2	56.68	46
4 4 4	59.44	13
8 0 0	69.85	7
6 6 2	77.20	19
8 4 0	79.59	17
8 4 4	89.04	13

Crystal structure
a b c (Å): 10.7730 10.7730 10.7730
angles (deg): 90.00 90.00 90.00
Space group Fd-3m (No. 227, origin choice 2)
One atom of each set of equivalent atoms:
Ta 0.0000 0.0000 0.0000
Tl 0.0000 0.0000 0.5000
O 0.0603 0.3750 0.3750


3.
This entry pairs a crystal structure of Ta2TlO6 with its calculated PXRD pattern. Radiation: Cu Kα X-rays. Structure: a DFT-relaxed cell (PBE, the Materials Project).
Neutral-atom scattering factors, no anomalous dispersion.

Largest 10 diffraction maxima, sorted by position, 2θ from 15° to 90°:
h k l	two_theta	Rel. int.
0 0 2	16.61	12
2 0 0	23.60	11
1 2 1	27.73	18
2 0 2	29.00	100
0 0 4	33.60	40
0 4 0	48.26	42
0 2 6	57.29	45
4 0 4	60.09	13
4 2 6	78.08	16
4 4 4	80.52	14

Crystal structure
a b c (Å): 7.5348 7.5478 10.6725
angles (deg): 90.00 90.00 90.00
Space group Imma (No. 74)
One atom of each set of equivalent atoms:
Ta 0.0000 0.0000 0.0000
Ta 0.2500 0.2500 0.2500
Tl 0.2500 0.2500 0.7500
O 0.0000 0.2500 0.3073
O 0.0000 0.2500 0.9362
O 0.1848 0.0608 0.1267


4.
This entry pairs a crystal structure of TaTlO3 with its calculated PXRD pattern. Radiation: Cu Kα X-rays. Structure: a DFT-relaxed cell (PBE, the Materials Project).
Neutral-atom scattering factors, no anomalous dispersion.

Largest 10 diffraction maxima, sorted by position, 2θ from 15° to 90°:
h k l	two_theta	Rel. int.
4 0 0	28.75	100
4 0 -4	33.31	41
6 2 -2	47.80	29
4 0 4	47.98	7
4 0 -8	56.71	24
6 2 2	56.87	14
0 0 8	59.64	7
8 4 -4	77.21	5
2 2 -10	77.37	5
6 2 -10	79.64	5

Crystal structure
a b c (Å): 13.1727 7.6219 13.1711
angles (deg): 90.00 109.69 90.00
Space group C2/c (No. 15)
One atom of each set of equivalent atoms:
Ta 0.0000 0.0000 0.0000
Ta 0.0000 0.2487 0.2500
Ta 0.0000 0.5000 0.0000
Ta 0.2500 0.2500 0.5000
Tl 0.0000 0.2442 0.7500
Tl 0.2385 0.4478 0.7612
Tl 0.2500 0.2500 0.0000
O 0.0293 0.4332 0.1545
O 0.0298 0.2497 0.9701
O 0.0319 0.0644 0.1558
O 0.1544 0.0666 0.5295
O 0.1555 0.2522 0.3445
O 0.1560 0.4355 0.5318


5.
This entry pairs a crystal structure of TaTlO3 with its calculated PXRD pattern. Radiation: Cu Kα X-rays. Structure: a DFT-relaxed cell (PBE, the Materials Project).
Neutral-atom scattering factors, no anomalous dispersion.

Largest 8 diffraction maxima, sorted by position, 2θ from 15° to 90°:
h k l	two_theta	Rel. int.
1 1 0	30.98	100
1 1 1	38.18	1
2 0 0	44.37	26
2 1 1	55.10	41
2 2 0	64.56	17
3 1 0	73.32	18
2 2 2	81.70	6
3 2 1	89.90	23

Crystal structure
a b c (Å): 4.0828 4.0828 4.0828
angles (deg): 90.00 90.00 90.00
Space group Pm-3m (No. 221)
One atom of each set of equivalent atoms:
Ta 0.0000 0.0000 0.0000
Tl 0.5000 0.5000 0.5000
O 0.0000 0.0000 0.5000


6.
This entry pairs a crystal structure of TmTaO4 with its calculated PXRD pattern. Radiation: Cu Kα X-rays. Structure: a DFT-relaxed cell (PBE, the Materials Project).
Neutral-atom scattering factors, no anomalous dispersion.

Largest 10 diffraction maxima, sorted by position, 2θ from 15° to 90°:
h k l	two_theta	Rel. int.
0 2 1	20.10	17
1 1 0	23.75	18
0 4 1	28.53	78
1 1 1	29.00	100
0 0 2	33.18	23
1 5 0	37.40	31
2 0 0	47.04	18
1 5 2	50.85	34
2 4 1	55.94	24
1 9 1	61.87	21

Crystal structure
a b c (Å): 3.8636 15.3579 5.3994
angles (deg): 90.00 90.00 90.00
Space group Cmc2_1 (No. 36)
One atom of each set of equivalent atoms:
Tm 0.0000 0.1982 0.0000
Ta 0.0000 0.4143 0.9287
O 0.0000 0.1009 0.3691
O 0.0000 0.2978 0.7074
O 0.0000 0.3315 0.2076
O 0.0000 0.4777 0.5946


7.
This entry pairs a crystal structure of Tm3TaO7 with its calculated PXRD pattern. Radiation: Cu Kα X-rays. Structure: a DFT-relaxed cell (PBE, the Materials Project).
Neutral-atom scattering factors, no anomalous dispersion.

Largest 10 diffraction maxima, sorted by position, 2θ from 15° to 90°:
h k l	two_theta	Rel. int.
0 2 2	29.55	100
2 0 2	34.18	25
0 4 0	34.37	11
0 0 4	49.13	14
2 4 2	49.26	28
2 2 4	58.37	27
0 6 2	58.62	12
0 4 4	61.33	9
2 6 4	79.91	9
2 0 6	82.27	6

Crystal structure
a b c (Å): 7.4258 10.4363 7.4119
angles (deg): 90.00 90.00 90.00
Space group C222_1 (No. 20)
One atom of each set of equivalent atoms:
Tm 0.0273 0.0000 0.0000
Tm 0.2324 0.2665 0.7544
Ta 0.0031 0.5000 0.0000
O 0.0000 0.1293 0.2500
O 0.0000 0.1393 0.7500
O 0.0000 0.4282 0.7500
O 0.1891 0.3714 0.0391
O 0.2061 0.3767 0.4709


8.
This entry pairs a crystal structure of TmTaO4 with its calculated PXRD pattern. Radiation: Cu Kα X-rays. Structure: a DFT-relaxed cell (PBE, the Materials Project).
Neutral-atom scattering factors, no anomalous dispersion.

Largest 10 diffraction maxima, sorted by position, 2θ from 15° to 90°:
h k l	two_theta	Rel. int.
1 1 -1	28.25	100
1 1 1	30.50	82
0 2 0	32.66	21
0 0 2	34.12	25
2 0 0	35.39	19
2 0 -2	47.04	17
0 2 2	47.95	23
2 2 0	48.92	22
1 1 -3	56.24	16
3 1 -1	57.95	14

Crystal structure
a b c (Å): 5.1030 5.4838 5.2860
angles (deg): 90.00 96.18 90.00
Space group P2/c (No. 13)
One atom of each set of equivalent atoms:
Tm 0.0000 0.2307 0.2500
Ta 0.5000 0.3046 0.7500
O 0.2470 0.0842 0.5961
O 0.2670 0.4329 0.9994